# 1
This entry pairs a crystal structure of LaCeB4Rh6 with its computed XRD peak list. Radiation: Cu Kα. Structure: the GGA-PBE geometry in Alexandria.
Neutral-atom scattering factors, no anomalous dispersion.

Largest 12 diffraction maxima, low angle first, 2θ = 10–80°:
- 28.41 deg, rel. 9.6, (1 0 0)
- 34.20 deg, rel. 73.3, (1 1 1)
- 37.83 deg, rel. 100.0, (0 2 2)
- 43.78 deg, rel. 44.1, (1 1 3)
- 47.98 deg, rel. 17.2, (1 2 2)
- 58.78 deg, rel. 9.9, (2 0 0)
- 59.22 deg, rel. 30.0, (1 3 1)
- 66.00 deg, rel. 12.5, (1 3 3)
- 68.31 deg, rel. 18.7, (0 4 0)
- 72.05 deg, rel. 29.4, (2 2 2)
- 75.58 deg, rel. 3.3, (1 4 0)
- 78.66 deg, rel. 13.1, (1 3 5)

abc: 3.1417 5.4918 9.5137
angles: 90.00 90.00 90.00
Positions (direct):
La 0.0000 0.0000 0.0000
Ce 0.0000 0.5000 0.5000
B 0.0000 0.0000 0.3336
B 0.0000 0.0000 0.6664
B 0.0000 0.5000 0.1669
B 0.0000 0.5000 0.8331
Rh 0.5000 0.0000 0.5000
Rh 0.5000 0.2526 0.2536
Rh 0.5000 0.2526 0.7464
Rh 0.5000 0.5000 0.0000
Rh 0.5000 0.7474 0.2536
Rh 0.5000 0.7474 0.7464

# 2
This entry pairs a crystal structure of PrGdGa with its computed XRD peak list. Radiation: Cu Kα. Structure: the GGA-PBE geometry in Alexandria.
Neutral-atom scattering factors, no anomalous dispersion.

Largest 12 diffraction maxima, low angle first, 2θ = 10–80°:
- 25.08 deg, rel. 19.4, (1 0 1)
- 29.00 deg, rel. 10.1, (0 0 4)
- 32.54 deg, rel. 100.0, (1 0 3)
- 34.20 deg, rel. 50.5, (1 1 0)
- 44.13 deg, rel. 12.2, (0 0 6)
- 45.43 deg, rel. 12.0, (1 1 4)
- 49.14 deg, rel. 18.1, (2 0 0)
- 56.97 deg, rel. 12.5, (1 1 6)
- 58.04 deg, rel. 14.3, (1 0 7)
- 60.18 deg, rel. 35.9, (2 1 3)
- 68.16 deg, rel. 10.2, (2 0 6)
- 79.42 deg, rel. 9.3, (2 1 7)

abc: 3.7080 3.7080 12.3164
angles: 90.00 90.00 90.00
Positions (direct):
Pr 0.0000 0.0000 0.0000
Pr 0.5000 0.5000 0.5000
Gd 0.0000 0.0000 0.2896
Gd 0.5000 0.5000 0.7896
Ga 0.0000 0.0000 0.6527
Ga 0.5000 0.5000 0.1527

# 3
This entry pairs a crystal structure of Cu4Sb with its computed XRD peak list. Radiation: Cu Kα. Structure: the GGA-PBE geometry in Alexandria.
Neutral-atom scattering factors, no anomalous dispersion.

Largest 12 diffraction maxima, low angle first, 2θ = 10–80°:
- 20.54 deg, rel. 2.0, (1 1 0)
- 27.52 deg, rel. 6.5, (1 0 1)
- 29.21 deg, rel. 4.0, (2 0 0)
- 40.56 deg, rel. 100.0, (1 2 1)
- 41.78 deg, rel. 0.8, (2 2 0)
- 46.98 deg, rel. 32.9, (3 1 0)
- 47.58 deg, rel. 15.5, (0 0 2)
- 56.81 deg, rel. 1.2, (2 0 2)
- 59.64 deg, rel. 2.0, (3 2 1)
- 67.77 deg, rel. 1.9, (1 4 1)
- 68.63 deg, rel. 9.2, (2 4 0)
- 69.10 deg, rel. 19.3, (3 1 2)

abc: 6.1157 6.1157 3.8220
angles: 90.00 90.00 90.00
Positions (direct):
Cu 0.0964 0.6871 0.0000
Cu 0.1871 0.4036 0.5000
Cu 0.3129 0.0964 0.0000
Cu 0.4036 0.8129 0.5000
Cu 0.5964 0.1871 0.5000
Cu 0.6871 0.9036 0.0000
Cu 0.8129 0.5964 0.5000
Cu 0.9036 0.3129 0.0000
Sb 0.0000 0.0000 0.5000
Sb 0.5000 0.5000 0.0000